[1]
Calculated powder diffractogram
Compound: Pm5Er12Mg2
Radiation: Cu Kα, 1.54184 Å
Structure: a cell relaxed with PBE

The 8 most intense peaks (2θ = 5–70°), low angle first:
d_spacing	I (rel.)
3.097	46.0
2.961	53.4
2.895	54.3
2.837	46.9
2.805	68.7
2.790	100.0
2.644	74.3
2.506	43.1

Cell and atoms:
```
Pm5Er12Mg2
1.0
7.739 -4.603 0.000
7.739 4.603 0.000
-0.222 0.000 8.374
Pm Er Mg
5 12 2
Cartesian
0.000 0.000 0.000 Pm
3.599 0.000 0.618 Pm
4.442 0.000 4.040 Pm
10.815 0.000 4.334 Pm
11.657 0.000 7.756 Pm
5.424 2.936 2.182 Er
1.108 0.000 3.173 Er
5.590 1.759 6.921 Er
9.833 2.936 6.192 Er
9.666 1.759 1.453 Er
6.824 0.000 1.398 Er
8.433 0.000 6.977 Er
5.590 -1.759 6.921 Er
5.424 -2.936 2.182 Er
9.666 -1.759 1.453 Er
14.148 0.000 5.202 Er
9.833 -2.936 6.192 Er
7.628 1.545 4.187 Mg
7.628 -1.545 4.187 Mg
```

***

[2]
Calculated powder diffractogram
Compound: Pm12Er5Mg
Radiation: Cu Kα, 1.54184 Å
Structure: a cell relaxed with PBE

The 8 most intense peaks (2θ = 5–70°), low angle first:
d_spacing	I (rel.)
2.935	56.1
2.813	100.0
2.075	20.3
1.913	7.9
1.670	39.7
1.603	17.1
1.467	6.3
1.407	10.6

Cell and atoms:
```
Pm12Er5Mg
1.0
5.739 -8.810 0.000
5.739 8.810 0.000
0.000 0.000 5.866
Pm Er Mg
12 5 1
Cartesian
1.882 2.839 2.933 Pm
1.721 0.000 0.000 Pm
3.884 2.760 0.000 Pm
1.882 -2.839 2.933 Pm
3.983 0.000 2.933 Pm
3.884 -2.760 0.000 Pm
7.595 2.760 0.000 Pm
7.496 0.000 2.933 Pm
9.596 2.839 2.933 Pm
7.595 -2.760 0.000 Pm
9.758 0.000 0.000 Pm
9.596 -2.839 2.933 Pm
0.000 0.000 2.933 Er
5.739 5.707 0.000 Er
5.739 3.081 2.933 Er
5.739 -3.081 2.933 Er
5.739 -5.707 0.000 Er
5.739 0.000 0.000 Mg
```

***

[3]
Calculated powder diffractogram
Compound: Pm5Er2Mg
Radiation: Cu Kα, 1.54184 Å
Structure: a cell relaxed with PBE

The 8 most intense peaks (2θ = 5–70°), low angle first:
d_spacing	I (rel.)
2.906	100.0
2.533	34.3
2.485	16.3
1.791	12.2
1.774	23.7
1.525	28.9
1.504	13.8
1.453	12.3

Cell and atoms:
```
Pm5Er2Mg
1.0
0.000 5.065 5.066
4.970 0.000 5.066
4.970 5.065 0.000
Pm Er Mg
5 2 1
Cartesian
4.970 5.065 10.132 Pm
2.485 2.533 0.000 Pm
7.445 5.065 2.536 Pm
2.494 5.065 2.536 Pm
2.485 2.533 5.066 Pm
4.970 2.539 7.599 Er
4.970 7.591 7.599 Er
4.970 5.065 5.069 Mg
```